1.
Diffraction record for Sm4Br6O. The powder diffractogram is computed, not measured: it uses a GGA-PBE-relaxed structure and Cu Kα X-rays.

Structure:
abc: 9.356 9.356 8.040
angles: 90.00 90.00 120.00
Positions (direct):
Sm 0.195 0.390 0.000
Sm 0.195 0.805 0.000
Sm 0.333 0.667 0.315
Sm 0.390 0.195 0.500
Sm 0.610 0.805 0.000
Sm 0.667 0.333 0.815
Sm 0.805 0.195 0.500
Sm 0.805 0.610 0.500
Br 0.037 0.519 0.685
Br 0.135 0.271 0.369
Br 0.135 0.865 0.369
Br 0.271 0.135 0.869
Br 0.481 0.519 0.685
Br 0.481 0.963 0.685
Br 0.519 0.037 0.185
Br 0.519 0.481 0.185
Br 0.729 0.865 0.369
Br 0.865 0.135 0.869
Br 0.865 0.729 0.869
Br 0.963 0.481 0.185
O 0.333 0.667 0.018
O 0.667 0.333 0.518

Largest 8 diffraction maxima, in order of rising 2θ, 2θ from 10° to 90°:
d_spacing	I (rel.)
5.707	37
3.618	32
2.857	100
2.560	40
2.544	31
2.436	40
2.339	52
1.527	27

2.
Diffraction record for Sn3BrO2. The powder diffractogram is computed, not measured: it uses a GGA-PBE-relaxed structure and Cu Kα X-rays.

Structure:
abc: 8.320 8.320 8.320
angles: 46.19 46.19 46.19
Positions (direct):
Sn 0.240 0.240 0.714
Sn 0.240 0.714 0.240
Sn 0.286 0.760 0.760
Sn 0.714 0.240 0.240
Sn 0.760 0.286 0.760
Sn 0.760 0.760 0.286
Br 0.196 0.196 0.196
Br 0.804 0.804 0.804
O 0.000 0.000 0.000
O 0.000 0.500 0.500
O 0.500 0.000 0.500
O 0.500 0.500 0.000

Largest 8 diffraction maxima, in order of rising 2θ, 2θ from 10° to 90°:
d_spacing	I (rel.)
7.418	20
3.709	21
3.497	38
2.987	21
2.739	100
2.520	76
1.645	27
1.632	32

3.
Diffraction record for SrBr2O5. The powder diffractogram is computed, not measured: it uses a GGA-PBE-relaxed structure and Cu Kα X-rays.

Structure:
abc: 8.310 6.555 11.099
angles: 90.00 90.65 90.00
Positions (direct):
Sr 0.245 0.073 0.022
Sr 0.245 0.427 0.522
Sr 0.755 0.573 0.478
Sr 0.755 0.927 0.978
Br 0.058 0.582 0.844
Br 0.058 0.918 0.344
Br 0.485 0.240 0.266
Br 0.485 0.260 0.766
Br 0.515 0.740 0.234
Br 0.515 0.760 0.734
Br 0.942 0.082 0.656
Br 0.942 0.418 0.156
O 0.052 0.690 0.419
O 0.052 0.810 0.919
O 0.143 0.646 0.713
O 0.143 0.854 0.213
O 0.192 0.056 0.424
O 0.192 0.444 0.924
O 0.311 0.187 0.688
O 0.311 0.313 0.188
O 0.492 0.078 0.886
O 0.492 0.422 0.386
O 0.508 0.578 0.614
O 0.508 0.922 0.114
O 0.689 0.687 0.812
O 0.689 0.813 0.312
O 0.808 0.556 0.076
O 0.808 0.944 0.576
O 0.857 0.146 0.787
O 0.857 0.354 0.287
O 0.948 0.190 0.081
O 0.948 0.310 0.581

Largest 8 diffraction maxima, in order of rising 2θ, 2θ from 10° to 90°:
d_spacing	I (rel.)
4.654	69
3.760	46
3.344	100
3.337	67
3.222	57
3.014	34
2.943	35
2.822	38

4.
Diffraction record for SrBrO3. The powder diffractogram is computed, not measured: it uses a GGA-PBE-relaxed structure and Cu Kα X-rays.

Structure:
abc: 4.029 6.554 6.691
angles: 88.05 73.67 85.62
Positions (direct):
Sr 0.000 0.000 0.000
Sr 0.090 0.700 0.522
Br 0.526 0.509 0.961
Br 0.606 0.139 0.533
O 0.002 0.103 0.604
O 0.150 0.609 0.139
O 0.436 0.246 0.036
O 0.480 0.475 0.702
O 0.623 0.787 0.860
O 0.655 0.910 0.377

Largest 8 diffraction maxima, in order of rising 2θ, 2θ from 10° to 90°:
d_spacing	I (rel.)
3.428	72
3.210	100
3.187	94
2.927	54
2.897	38
2.714	48
2.650	48
2.006	40

5.
Diffraction record for SrTcBrO4. The powder diffractogram is computed, not measured: it uses a GGA-PBE-relaxed structure and Cu Kα X-rays.

Structure:
abc: 6.725 6.725 7.513
angles: 102.85 102.85 71.68
Positions (direct):
Sr 0.218 0.218 0.138
Sr 0.782 0.782 0.862
Tc 0.367 0.367 0.739
Tc 0.633 0.633 0.261
Br 0.030 0.030 0.758
Br 0.970 0.970 0.242
O 0.141 0.498 0.842
O 0.301 0.301 0.501
O 0.468 0.468 0.215
O 0.498 0.141 0.842
O 0.502 0.859 0.158
O 0.532 0.532 0.785
O 0.699 0.699 0.499
O 0.859 0.502 0.158

Largest 8 diffraction maxima, in order of rising 2θ, 2θ from 10° to 90°:
d_spacing	I (rel.)
3.938	100
3.779	27
3.612	44
3.237	54
2.761	32
2.662	30
2.111	22
1.969	26

6.
Diffraction record for Ta2Te4Br10O. The powder diffractogram is computed, not measured: it uses a GGA-PBE-relaxed structure and Cu Kα X-rays.

Structure:
abc: 7.614 7.987 11.278
angles: 79.21 88.45 83.55
Positions (direct):
Ta 0.106 0.001 0.345
Ta 0.894 0.999 0.655
Te 0.289 0.397 0.980
Te 0.415 0.701 0.880
Te 0.585 0.299 0.120
Te 0.711 0.603 0.020
Br 0.064 0.690 0.736
Br 0.152 0.117 0.732
Br 0.255 0.018 0.126
Br 0.274 0.718 0.406
Br 0.344 0.167 0.399
Br 0.656 0.833 0.601
Br 0.726 0.282 0.594
Br 0.745 0.982 0.874
Br 0.848 0.883 0.268
Br 0.936 0.310 0.264
O 0.000 0.000 0.500

Largest 8 diffraction maxima, in order of rising 2θ, 2θ from 10° to 90°:
d_spacing	I (rel.)
7.798	49
7.019	100
6.262	56
4.972	45
4.456	81
3.311	34
3.186	54
3.054	29

7.
Diffraction record for TaTi2BrO. The powder diffractogram is computed, not measured: it uses a GGA-PBE-relaxed structure and Cu Kα X-rays.

Structure:
abc: 4.246 4.246 4.234
angles: 90.00 90.00 90.00
Positions (direct):
Ta 0.000 0.000 0.000
Ti 0.000 0.500 0.500
Ti 0.500 0.000 0.500
Br 0.500 0.500 0.000
O 0.000 0.000 0.500

Largest 8 diffraction maxima, in order of rising 2θ, 2θ from 10° to 90°:
d_spacing	I (rel.)
4.241	42
3.001	34
2.449	100
2.123	39
2.117	19
1.898	15
1.499	25
1.280	25

8.
Diffraction record for Tc2Br2O7. The powder diffractogram is computed, not measured: it uses a GGA-PBE-relaxed structure and Cu Kα X-rays.

Structure:
abc: 5.058 7.576 8.189
angles: 66.71 75.74 88.02
Positions (direct):
Tc 0.065 0.067 0.184
Tc 0.935 0.933 0.816
Br 0.359 0.547 0.609
Br 0.641 0.453 0.391
O 0.000 0.000 0.000
O 0.035 0.707 0.841
O 0.107 0.095 0.604
O 0.408 0.063 0.173
O 0.592 0.937 0.827
O 0.893 0.905 0.396
O 0.965 0.293 0.159

Largest 8 diffraction maxima, in order of rising 2θ, 2θ from 10° to 90°:
d_spacing	I (rel.)
4.245	100
4.138	40
3.932	22
3.871	30
3.471	29
3.354	33
3.239	21
2.106	19

9.
Diffraction record for ThTeBrO4. The powder diffractogram is computed, not measured: it uses a GGA-PBE-relaxed structure and Cu Kα X-rays.

Structure:
abc: 6.524 6.524 7.036
angles: 98.10 98.10 68.34
Positions (direct):
Th 0.232 0.232 0.130
Th 0.768 0.768 0.870
Te 0.375 0.375 0.701
Te 0.625 0.625 0.299
Br 0.026 0.026 0.760
Br 0.974 0.974 0.240
O 0.126 0.491 0.853
O 0.253 0.253 0.461
O 0.444 0.444 0.202
O 0.491 0.126 0.853
O 0.509 0.874 0.147
O 0.556 0.556 0.798
O 0.747 0.747 0.539
O 0.874 0.509 0.147

Largest 8 diffraction maxima, in order of rising 2θ, 2θ from 10° to 90°:
d_spacing	I (rel.)
6.933	36
5.319	35
3.911	45
3.664	100
3.140	45
3.085	71
2.888	34
2.551	30